# DyFeO3
Calculated powder XRD pattern, CuKα. Input: the PBE+U geometry in the Materials Project.
Intensities are scaled so that the largest is 100.

Largest 10 diffraction maxima, in order of falling intensity, 5 to 70 degrees two-theta:
2θ = 32.7°, intensity 100
2θ = 33.6°, intensity 24
2θ = 25.7°, intensity 23
2θ = 59.5°, intensity 22
2θ = 52.9°, intensity 21
2θ = 22.9°, intensity 20
2θ = 31.6°, intensity 18
2θ = 46.8°, intensity 16
2θ = 33.8°, intensity 14
2θ = 48.4°, intensity 14

Crystal structure
```
data_DyFeO3
_cell_length_a 5.656
_cell_length_b 7.713
_cell_length_c 5.333
_cell_angle_alpha 90.00
_cell_angle_beta 90.00
_cell_angle_gamma 90.00
_space_group_name_H-M_alt 'P 1'
_space_group_IT_number 1
loop_
_space_group_symop_operation_xyz
'x,y,z'
loop_
_atom_site_label
_atom_site_fract_x
_atom_site_fract_y
_atom_site_fract_z
Dy1 0.069 0.250 0.019
Dy2 0.431 0.750 0.519
Dy3 0.569 0.250 0.481
Dy4 0.931 0.750 0.981
Fe1 0.000 0.000 0.500
Fe2 0.000 0.500 0.500
Fe3 0.500 0.000 0.000
Fe4 0.500 0.500 0.000
O1 0.043 0.750 0.384
O2 0.194 0.560 0.809
O3 0.194 0.940 0.809
O4 0.306 0.060 0.309
O5 0.306 0.440 0.309
O6 0.457 0.250 0.884
O7 0.543 0.750 0.116
O8 0.694 0.560 0.691
O9 0.694 0.940 0.691
O10 0.806 0.060 0.191
O11 0.806 0.440 0.191
O12 0.957 0.250 0.616
```



# Dy2FeSbO7
Calculated powder XRD pattern, CuKα. Input: the PBE+U geometry in the Materials Project.
Intensities are scaled so that the largest is 100.

Largest 10 diffraction maxima, in order of falling intensity, 5 to 70 degrees two-theta:
2θ = 29.8°, intensity 100
2θ = 30.2°, intensity 99
2θ = 50.0°, intensity 63
2θ = 34.7°, intensity 43
2θ = 59.6°, intensity 42
2θ = 59.1°, intensity 29
2θ = 34.9°, intensity 21
2θ = 14.8°, intensity 19
2θ = 49.5°, intensity 17
2θ = 50.3°, intensity 15

Crystal structure
```
data_Dy2FeSbO7
_cell_length_a 7.294
_cell_length_b 7.294
_cell_length_c 7.294
_cell_angle_alpha 120.40
_cell_angle_beta 119.36
_cell_angle_gamma 90.21
_space_group_name_H-M_alt 'P 1'
_space_group_IT_number 1
loop_
_space_group_symop_operation_xyz
'x,y,z'
loop_
_atom_site_label
_atom_site_fract_x
_atom_site_fract_y
_atom_site_fract_z
Dy1 0.000 0.000 0.000
Dy2 0.500 0.000 0.000
Dy3 0.500 0.000 0.500
Dy4 0.500 0.500 0.500
Fe1 0.000 0.000 0.500
Fe2 0.000 0.500 0.000
Sb1 0.000 0.500 0.500
Sb2 0.500 0.500 0.000
O1 0.090 0.840 0.250
O2 0.091 0.421 0.260
O3 0.091 0.831 0.670
O4 0.330 0.580 0.750
O5 0.339 0.169 0.760
O6 0.339 0.579 0.170
O7 0.377 0.127 0.250
O8 0.623 0.873 0.750
O9 0.661 0.421 0.830
O10 0.661 0.831 0.240
O11 0.670 0.420 0.250
O12 0.909 0.169 0.330
O13 0.909 0.579 0.740
O14 0.910 0.160 0.750
```



# SrDy2Fe2O7
Calculated powder XRD pattern, CuKα. Input: the PBE+U geometry in the Materials Project.
Intensities are scaled so that the largest is 100.

Largest 10 diffraction maxima, in order of falling intensity, 5 to 70 degrees two-theta:
2θ = 32.4°, intensity 100
2θ = 33.4°, intensity 61
2θ = 59.0°, intensity 37
2θ = 47.9°, intensity 34
2θ = 43.1°, intensity 27
2θ = 23.8°, intensity 24
2θ = 55.6°, intensity 17
2θ = 57.1°, intensity 16
2θ = 67.8°, intensity 13
2θ = 8.8°, intensity 12

Crystal structure
```
data_SrDy2Fe2O7
_cell_length_a 10.438
_cell_length_b 10.438
_cell_length_c 10.438
_cell_angle_alpha 159.03
_cell_angle_beta 159.03
_cell_angle_gamma 29.82
_space_group_name_H-M_alt 'P 1'
_space_group_IT_number 1
loop_
_space_group_symop_operation_xyz
'x,y,z'
loop_
_atom_site_label
_atom_site_fract_x
_atom_site_fract_y
_atom_site_fract_z
Sr1 0.000 0.000 0.000
Dy1 0.633 0.633 0.000
Dy2 0.821 0.821 0.000
Fe1 0.213 0.213 0.000
Fe2 0.413 0.413 0.000
O1 0.115 0.115 0.000
O2 0.209 0.709 0.500
O3 0.309 0.309 0.000
O4 0.400 0.900 0.500
O5 0.519 0.519 0.000
O6 0.709 0.209 0.500
O7 0.900 0.400 0.500
```



# Sr2DyFeO6
Calculated powder XRD pattern, CuKα. Input: the PBE+U geometry in the Materials Project.
Intensities are scaled so that the largest is 100.

Largest 10 diffraction maxima, in order of falling intensity, 5 to 70 degrees two-theta:
2θ = 31.1°, intensity 100
2θ = 55.3°, intensity 39
2θ = 44.6°, intensity 33
2θ = 64.9°, intensity 19
2θ = 18.9°, intensity 13
2θ = 36.7°, intensity 11
2θ = 48.8°, intensity 6
2θ = 21.9°, intensity 6
2θ = 59.0°, intensity 3
2θ = 68.2°, intensity 3

Crystal structure
```
data_Sr2DyFeO6
_cell_length_a 5.750
_cell_length_b 5.750
_cell_length_c 5.750
_cell_angle_alpha 60.00
_cell_angle_beta 60.00
_cell_angle_gamma 60.00
_space_group_name_H-M_alt 'P 1'
_space_group_IT_number 1
loop_
_space_group_symop_operation_xyz
'x,y,z'
loop_
_atom_site_label
_atom_site_fract_x
_atom_site_fract_y
_atom_site_fract_z
Sr1 0.250 0.250 0.250
Sr2 0.750 0.750 0.750
Dy1 0.000 0.000 0.000
Fe1 0.500 0.500 0.500
O1 0.269 0.269 0.731
O2 0.269 0.731 0.269
O3 0.269 0.731 0.731
O4 0.731 0.269 0.269
O5 0.731 0.269 0.731
O6 0.731 0.731 0.269
```